This entry pairs a crystal structure of Pa3Be2B9 with its computed X-ray diffraction stick pattern. Radiation: Cu Kα. Structure: a structure optimized by DFT (GGA-PBE).
Kinematic intensities with the Lorentz-polarization factor, no thermal factor.

```
data_Pa3Be2B9
_chemical_formula_sum 'Pa6 Be4 B18'
_symmetry_space_group_name_H-M 'I m m m'
_symmetry_Int_Tables_number 71
_symmetry_space_group_name_Hall '-I 2 2'
_cell_length_a 3.0820
_cell_length_b 7.7636
_cell_length_c 12.4590
_cell_angle_alpha 90.00
_cell_angle_beta 90.00
_cell_angle_gamma 90.00
loop_
_atom_site_label
_atom_site_type_symbol
_atom_site_fract_x
_atom_site_fract_y
_atom_site_fract_z
Pa1 Pa 0.0000 0.0000 0.0000
Pa2 Pa 0.0000 0.0000 0.2646
Be1 Be 0.0000 0.1595 0.5000
B1 B 0.0000 0.2960 0.1157
B2 B 0.0000 0.2978 0.3718
B3 B 0.0000 0.5000 0.0000
```

Principal peaks in the range 10° ≤ 2θ ≤ 90°, by intensity:
hkl 1 1 0, 31.2 deg, d 2.865, I = 100; hkl 0 2 0, 22.9 deg, d 3.882, I = 95; hkl 1 1 4, 42.9 deg, d 2.108, I = 88; hkl 0 2 4, 37.0 deg, d 2.429, I = 73; hkl 0 0 4, 28.7 deg, d 3.115, I = 52; hkl 0 1 3, 24.3 deg, d 3.662, I = 47; hkl 0 1 1, 13.4 deg, d 6.589, I = 44; hkl 1 3 0, 45.8 deg, d 1.982, I = 41; hkl 1 3 4, 54.9 deg, d 1.672, I = 34; hkl 2 2 0, 65.1 deg, d 1.432, I = 30

---

This entry pairs a crystal structure of Ac3Al2Pt9 with its computed X-ray diffraction stick pattern. Radiation: Cu Kα. Structure: a structure optimized by DFT (GGA-PBE).
Kinematic intensities with the Lorentz-polarization factor, no thermal factor.

```
data_Ac3Al2Pt9
_chemical_formula_sum 'Ac3 Al2 Pt9'
_symmetry_space_group_name_H-M 'P -3 m 1'
_symmetry_Int_Tables_number 164
_symmetry_space_group_name_Hall '-P 3 2"'
_cell_length_a 5.9849
_cell_length_b 5.9849
_cell_length_c 9.4593
_cell_angle_alpha 90.00
_cell_angle_beta 90.00
_cell_angle_gamma 120.00
loop_
_atom_site_label
_atom_site_type_symbol
_atom_site_fract_x
_atom_site_fract_y
_atom_site_fract_z
Ac1 Ac 0.0000 0.0000 0.0000
Ac2 Ac 0.3333 0.6667 0.3112
Al1 Al 0.3333 0.6667 0.8010
Pt1 Pt 0.0000 0.5000 0.0000
Pt2 Pt 0.1605 0.3209 0.6223
```

Principal peaks in the range 10° ≤ 2θ ≤ 90°, by intensity:
hkl 2 0 1, 35.9 deg, d 2.499, I = 100; hkl 0 2 2, 39.7 deg, d 2.273, I = 74; hkl 0 0 3, 28.3 deg, d 3.153, I = 43; hkl 2 0 4, 52.4 deg, d 1.747, I = 26; hkl 2 2 0, 62.0 deg, d 1.496, I = 23; hkl 2 2 3, 69.5 deg, d 1.352, I = 21; hkl 0 4 1, 73.8 deg, d 1.284, I = 13; hkl 4 0 2, 76.2 deg, d 1.250, I = 11; hkl 2 0 3, 45.3 deg, d 2.002, I = 8; hkl 0 2 5, 60.6 deg, d 1.528, I = 8

---

This entry pairs a crystal structure of SrCr2Os with its computed X-ray diffraction stick pattern. Radiation: Cu Kα. Structure: a structure optimized by DFT (GGA-PBE).
Kinematic intensities with the Lorentz-polarization factor, no thermal factor.

```
data_SrCr2Os
_chemical_formula_sum 'Sr1 Cr2 Os1'
_symmetry_space_group_name_H-M 'P 4 m m'
_symmetry_Int_Tables_number 99
_symmetry_space_group_name_Hall 'P 4 -2'
_cell_length_a 3.0469
_cell_length_b 3.0469
_cell_length_c 7.8709
_cell_angle_alpha 90.00
_cell_angle_beta 90.00
_cell_angle_gamma 90.00
loop_
_atom_site_label
_atom_site_type_symbol
_atom_site_fract_x
_atom_site_fract_y
_atom_site_fract_z
Sr1 Sr 0.0000 0.0000 0.0000
Cr1 Cr 0.0000 0.0000 0.5287
Cr2 Cr 0.5000 0.5000 0.3450
Os1 Os 0.5000 0.5000 0.6991
```

Principal peaks in the range 10° ≤ 2θ ≤ 90°, by intensity:
hkl 0 0 1, 11.2 deg, d 7.871, I = 100; hkl 1 0 2, 37.3 deg, d 2.409, I = 99; hkl 1 1 0, 41.9 deg, d 2.154, I = 54; hkl 1 0 1, 31.5 deg, d 2.841, I = 49; hkl 1 0 3, 45.6 deg, d 1.988, I = 28; hkl 2 1 2, 73.6 deg, d 1.288, I = 27; hkl 1 1 3, 55.2 deg, d 1.665, I = 23; hkl 0 0 3, 34.2 deg, d 2.624, I = 23; hkl 1 1 6, 87.0 deg, d 1.120, I = 18; hkl 2 0 0, 60.8 deg, d 1.523, I = 17

---

This entry pairs a crystal structure of Ba2SnHg6Sb with its computed X-ray diffraction stick pattern. Radiation: Cu Kα. Structure: a structure optimized by DFT (GGA-PBE).
Kinematic intensities with the Lorentz-polarization factor, no thermal factor.

```
data_Ba2SnHg6Sb
_chemical_formula_sum 'Ba4 Sn2 Hg12 Sb2'
_symmetry_space_group_name_H-M 'P m m n'
_symmetry_Int_Tables_number 59
_cell_length_a 5.9117
_cell_length_b 10.2822
_cell_length_c 10.9507
_cell_angle_alpha 90.00
_cell_angle_beta 90.00
_cell_angle_gamma 90.00
loop_
_symmetry_equiv_pos_as_xyz
'x,y,z'
'-x,-y,-z'
'-x+1/2,-y+1/2,z'
'x+1/2,y+1/2,-z'
'x+1/2,-y,-z'
'-x+1/2,y,z'
'-x,y+1/2,-z'
'x,-y+1/2,z'
loop_
_atom_site_label
_atom_site_type_symbol
_atom_site_fract_x
_atom_site_fract_y
_atom_site_fract_z
Ba1 Ba 0.2500 0.0135 0.2332
Sn1 Sn 0.2500 0.2500 0.7493
Hg1 Hg 0.0005 0.2500 0.9738
Hg2 Hg 0.0008 0.7500 0.5318
Hg3 Hg 0.2500 0.0096 0.5829
Sb1 Sb 0.2500 0.7500 0.7999
```

Principal peaks in the range 10° ≤ 2θ ≤ 90°, by intensity:
hkl 1 2 3, 33.7 deg, d 2.658, I = 100; hkl 2 2 0, 35.0 deg, d 2.563, I = 96; hkl 0 4 0, 34.9 deg, d 2.571, I = 92; hkl 2 2 2, 38.8 deg, d 2.321, I = 83; hkl 2 0 2, 34.5 deg, d 2.601, I = 71; hkl 0 2 2, 23.7 deg, d 3.748, I = 59; hkl 1 2 2, 28.2 deg, d 3.165, I = 50; hkl 2 4 2, 49.9 deg, d 1.828, I = 49; hkl 0 0 2, 16.2 deg, d 5.475, I = 44; hkl 0 2 1, 19.1 deg, d 4.653, I = 38

---

This entry pairs a crystal structure of Pa2SnBi3 with its computed X-ray diffraction stick pattern. Radiation: Cu Kα. Structure: a structure optimized by DFT (GGA-PBE).
Kinematic intensities with the Lorentz-polarization factor, no thermal factor.

```
data_Pa2SnBi3
_chemical_formula_sum 'Pa2 Sn1 Bi3'
_symmetry_space_group_name_H-M 'P -4 m 2'
_symmetry_Int_Tables_number 115
_symmetry_space_group_name_Hall 'P -4 -2'
_cell_length_a 4.4280
_cell_length_b 4.4280
_cell_length_c 8.9685
_cell_angle_alpha 90.00
_cell_angle_beta 90.00
_cell_angle_gamma 90.00
loop_
_atom_site_label
_atom_site_type_symbol
_atom_site_fract_x
_atom_site_fract_y
_atom_site_fract_z
Pa1 Pa 0.0000 0.5000 0.2229
Sn1 Sn 0.0000 0.0000 0.5000
Bi1 Bi 0.0000 0.5000 0.8584
Bi2 Bi 0.5000 0.5000 0.5000
```

Principal peaks in the range 10° ≤ 2θ ≤ 90°, by intensity:
hkl 1 1 2, 35.0 deg, d 2.567, I = 100; hkl 1 1 1, 30.2 deg, d 2.956, I = 91; hkl 2 0 0, 40.8 deg, d 2.214, I = 67; hkl 0 0 3, 29.9 deg, d 2.990, I = 45; hkl 1 0 3, 36.3 deg, d 2.478, I = 44; hkl 2 0 3, 51.4 deg, d 1.779, I = 41; hkl 1 1 0, 28.5 deg, d 3.131, I = 34; hkl 3 1 2, 70.4 deg, d 1.337, I = 28; hkl 2 1 3, 55.7 deg, d 1.651, I = 27; hkl 2 2 0, 59.0 deg, d 1.566, I = 23

---

This entry pairs a crystal structure of Li5CuP2O8 with its computed X-ray diffraction stick pattern. Radiation: Cu Kα. Structure: a structure optimized by DFT (GGA-PBE).
Kinematic intensities with the Lorentz-polarization factor, no thermal factor.

```
data_Li5CuP2O8
_chemical_formula_sum 'Li10 Cu2 P4 O16'
_symmetry_space_group_name_H-M 'P 1 c 1'
_symmetry_Int_Tables_number 7
_symmetry_space_group_name_Hall 'P -2yc'
_cell_length_a 6.1776
_cell_length_b 5.0648
_cell_length_c 10.7702
_cell_angle_alpha 90.00
_cell_angle_beta 90.60
_cell_angle_gamma 90.00
loop_
_atom_site_label
_atom_site_type_symbol
_atom_site_fract_x
_atom_site_fract_y
_atom_site_fract_z
Li1 Li 0.0000 0.0443 0.0000
Li2 Li 0.2473 0.0454 0.7624
Li3 Li 0.4995 0.4471 0.8508
Li4 Li 0.7464 0.4423 0.0899
Li5 Li 0.7509 0.0506 0.7614
Cu1 Cu 0.2580 0.4519 0.1005
P1 P 0.5038 0.0570 0.5123
P2 P 0.9924 0.4483 0.3375
O1 O 0.2030 0.4423 0.7758
O2 O 0.2944 0.0303 0.0825
O3 O 0.5017 0.0514 0.8774
O4 O 0.5098 0.3655 0.5076
O5 O 0.7071 0.0441 0.0846
O6 O 0.7898 0.4519 0.7642
O7 O 0.9861 0.4427 0.9722
O8 O 0.9982 0.1405 0.3372
```

Principal peaks in the range 10° ≤ 2θ ≤ 90°, by intensity:
hkl 1 1 0, 22.7 deg, d 3.917, I = 100; hkl 1 0 2, 22.0 deg, d 4.038, I = 99; hkl 2 0 -2, 33.3 deg, d 2.692, I = 87; hkl 0 2 0, 35.4 deg, d 2.532, I = 69; hkl 1 0 0, 14.3 deg, d 6.177, I = 52; hkl 2 0 2, 33.6 deg, d 2.667, I = 50; hkl 1 1 -2, 28.1 deg, d 3.177, I = 49; hkl 4 0 0, 59.9 deg, d 1.545, I = 36; hkl 0 1 0, 17.5 deg, d 5.065, I = 36; hkl 0 0 2, 16.5 deg, d 5.385, I = 29

---

This entry pairs a crystal structure of Ce5PrAu6 with its computed X-ray diffraction stick pattern. Radiation: Cu Kα. Structure: a structure optimized by DFT (GGA-PBE).
Kinematic intensities with the Lorentz-polarization factor, no thermal factor.

```
data_Ce5PrAu6
_chemical_formula_sum 'Ce10 Pr2 Au12'
_symmetry_space_group_name_H-M 'C 1 2/m 1'
_symmetry_Int_Tables_number 12
_symmetry_space_group_name_Hall '-C 2y'
_cell_length_a 16.5970
_cell_length_b 7.3370
_cell_length_c 5.2689
_cell_angle_alpha 90.00
_cell_angle_beta 108.42
_cell_angle_gamma 90.00
loop_
_atom_site_label
_atom_site_type_symbol
_atom_site_fract_x
_atom_site_fract_y
_atom_site_fract_z
Ce1 Ce 0.0000 0.0000 0.0000
Ce2 Ce 0.1632 0.5000 0.6599
Ce3 Ce 0.1696 0.0000 0.6655
Pr1 Pr 0.0000 0.5000 0.0000
Au1 Au 0.0000 0.2387 0.5000
Au2 Au 0.1681 0.2433 0.1631
```

Principal peaks in the range 10° ≤ 2θ ≤ 90°, by intensity:
hkl 2 2 1, 34.3 deg, d 2.612, I = 100; hkl 2 0 -2, 34.0 deg, d 2.634, I = 26; hkl 6 0 0, 34.2 deg, d 2.624, I = 25; hkl 0 2 3, 61.1 deg, d 1.517, I = 19; hkl 8 2 1, 61.3 deg, d 1.513, I = 19; hkl 4 0 2, 49.0 deg, d 1.859, I = 19; hkl 2 4 -2, 61.7 deg, d 1.504, I = 18; hkl 4 4 2, 72.4 deg, d 1.306, I = 11; hkl 0 4 0, 49.7 deg, d 1.834, I = 9; hkl 2 6 1, 83.2 deg, d 1.162, I = 8

---

This entry pairs a crystal structure of Tm4ZnCu3 with its computed X-ray diffraction stick pattern. Radiation: Cu Kα. Structure: a structure optimized by DFT (GGA-PBE).
Kinematic intensities with the Lorentz-polarization factor, no thermal factor.

```
data_Tm4ZnCu3
_chemical_formula_sum 'Tm4 Zn1 Cu3'
_symmetry_space_group_name_H-M 'P m m m'
_symmetry_Int_Tables_number 47
_symmetry_space_group_name_Hall '-P 2 2'
_cell_length_a 3.4333
_cell_length_b 4.8802
_cell_length_c 9.7406
_cell_angle_alpha 90.00
_cell_angle_beta 90.00
_cell_angle_gamma 90.00
loop_
_atom_site_label
_atom_site_type_symbol
_atom_site_fract_x
_atom_site_fract_y
_atom_site_fract_z
Tm1 Tm 0.0000 0.0000 0.0000
Tm2 Tm 0.0000 0.0000 0.5000
Tm3 Tm 0.0000 0.5000 0.2449
Zn1 Zn 0.5000 0.5000 0.5000
Cu1 Cu 0.5000 0.0000 0.2519
Cu2 Cu 0.5000 0.5000 0.0000
```

Principal peaks in the range 10° ≤ 2θ ≤ 90°, by intensity:
hkl 1 1 2, 37.0 deg, d 2.433, I = 100; hkl 0 2 0, 36.9 deg, d 2.438, I = 50; hkl 2 2 0, 66.6 deg, d 1.405, I = 26; hkl 0 1 2, 25.8 deg, d 3.447, I = 21; hkl 1 3 2, 66.4 deg, d 1.407, I = 18; hkl 0 2 4, 53.1 deg, d 1.724, I = 17; hkl 2 2 4, 78.6 deg, d 1.217, I = 13; hkl 1 0 0, 26.0 deg, d 3.433, I = 10; hkl 1 2 0, 45.6 deg, d 1.988, I = 10; hkl 2 0 4, 66.7 deg, d 1.403, I = 9

---

This entry pairs a crystal structure of Li2CuH6Rh with its computed X-ray diffraction stick pattern. Radiation: Cu Kα. Structure: a structure optimized by DFT (GGA-PBE).
Kinematic intensities with the Lorentz-polarization factor, no thermal factor.

```
data_Li2CuH6Rh
_chemical_formula_sum 'Li4 Cu2 H12 Rh2'
_symmetry_space_group_name_H-M 'C 1 2/m 1'
_symmetry_Int_Tables_number 12
_symmetry_space_group_name_Hall '-C 2y'
_cell_length_a 6.8046
_cell_length_b 6.8070
_cell_length_c 4.8148
_cell_angle_alpha 90.00
_cell_angle_beta 134.87
_cell_angle_gamma 90.00
loop_
_atom_site_label
_atom_site_type_symbol
_atom_site_fract_x
_atom_site_fract_y
_atom_site_fract_z
Li1 Li 0.0000 0.2498 0.0000
Cu1 Cu 0.0000 0.0000 0.5000
H1 H 0.0000 0.2526 0.5000
H2 H 0.2476 0.5000 0.5002
H3 H 0.2477 0.5000 0.9933
Rh1 Rh 0.0000 0.5000 0.5000
```

Principal peaks in the range 10° ≤ 2θ ≤ 90°, by intensity:
hkl 0 2 0, 26.2 deg, d 3.406, I = 100; hkl 2 0 0, 37.3 deg, d 2.408, I = 91; hkl 2 2 0, 46.2 deg, d 1.967, I = 24; hkl 0 4 1, 60.9 deg, d 1.522, I = 23; hkl 2 4 0, 67.4 deg, d 1.390, I = 20; hkl 2 0 1, 60.7 deg, d 1.525, I = 11; hkl 0 4 0, 53.9 deg, d 1.701, I = 11; hkl 2 2 1, 67.3 deg, d 1.392, I = 10; hkl 1 1 -1, 22.6 deg, d 3.933, I = 9; hkl 0 6 0, 85.6 deg, d 1.135, I = 8

---

This entry pairs a crystal structure of Sm3Ge2Pd with its computed X-ray diffraction stick pattern. Radiation: Cu Kα. Structure: a structure optimized by DFT (GGA-PBE).
Kinematic intensities with the Lorentz-polarization factor, no thermal factor.

```
data_Sm3Ge2Pd
_chemical_formula_sum 'Sm12 Ge8 Pd4'
_symmetry_space_group_name_H-M 'P n m a'
_symmetry_Int_Tables_number 62
_symmetry_space_group_name_Hall '-P 2ac 2n'
_cell_length_a 11.8296
_cell_length_b 4.3655
_cell_length_c 11.5765
_cell_angle_alpha 90.00
_cell_angle_beta 90.00
_cell_angle_gamma 90.00
loop_
_atom_site_label
_atom_site_type_symbol
_atom_site_fract_x
_atom_site_fract_y
_atom_site_fract_z
Sm1 Sm 0.0537 0.2500 0.1283
Sm2 Sm 0.1228 0.7500 0.5600
Sm3 Sm 0.2165 0.2500 0.8073
Ge1 Ge 0.0124 0.7500 0.3116
Ge2 Ge 0.1864 0.7500 0.0025
Pd1 Pd 0.1279 0.2500 0.3730
```

Principal peaks in the range 10° ≤ 2θ ≤ 90°, by intensity:
hkl 3 1 2, 34.3 deg, d 2.611, I = 100; hkl 0 1 3, 30.9 deg, d 2.891, I = 100; hkl 0 2 0, 41.4 deg, d 2.183, I = 64; hkl 1 0 4, 31.8 deg, d 2.810, I = 56; hkl 2 1 2, 29.8 deg, d 3.003, I = 54; hkl 4 1 1, 37.5 deg, d 2.395, I = 49; hkl 2 1 4, 40.4 deg, d 2.234, I = 36; hkl 2 1 1, 26.5 deg, d 3.361, I = 34; hkl 3 0 2, 27.4 deg, d 3.259, I = 30; hkl 4 0 1, 31.2 deg, d 2.865, I = 27

---

This entry pairs a crystal structure of VNiPdRh with its computed X-ray diffraction stick pattern. Radiation: Cu Kα. Structure: a structure optimized by DFT (GGA-PBE).
Kinematic intensities with the Lorentz-polarization factor, no thermal factor.

```
data_VNiPdRh
_chemical_formula_sum 'V2 Ni2 Pd2 Rh2'
_symmetry_space_group_name_H-M 'I -4 m 2'
_symmetry_Int_Tables_number 119
_symmetry_space_group_name_Hall 'I -4 -2'
_cell_length_a 3.7001
_cell_length_b 3.7001
_cell_length_c 7.8146
_cell_angle_alpha 90.00
_cell_angle_beta 90.00
_cell_angle_gamma 90.00
loop_
_atom_site_label
_atom_site_type_symbol
_atom_site_fract_x
_atom_site_fract_y
_atom_site_fract_z
V1 V 0.0000 0.0000 0.0000
Ni1 Ni 0.0000 0.5000 0.2500
Pd1 Pd 0.0000 0.5000 0.7500
Rh1 Rh 0.0000 0.0000 0.5000
```

Principal peaks in the range 10° ≤ 2θ ≤ 90°, by intensity:
hkl 1 1 2, 41.5 deg, d 2.174, I = 100; hkl 2 0 0, 49.3 deg, d 1.850, I = 30; hkl 3 1 2, 86.9 deg, d 1.121, I = 22; hkl 2 0 4, 70.0 deg, d 1.343, I = 20; hkl 0 0 4, 46.5 deg, d 1.954, I = 18; hkl 1 0 1, 26.7 deg, d 3.344, I = 15; hkl 1 1 6, 82.8 deg, d 1.166, I = 12; hkl 2 2 0, 72.2 deg, d 1.308, I = 9; hkl 1 0 3, 42.4 deg, d 2.130, I = 4; hkl 2 1 1, 56.9 deg, d 1.619, I = 4

---

This entry pairs a crystal structure of SrCe2TaO8 with its computed X-ray diffraction stick pattern. Radiation: Cu Kα. Structure: a structure optimized by DFT (GGA-PBE).
Kinematic intensities with the Lorentz-polarization factor, no thermal factor.

```
data_SrCe2TaO8
_chemical_formula_sum 'Sr1 Ce2 Ta1 O8'
_symmetry_space_group_name_H-M 'P 1 2/m 1'
_symmetry_Int_Tables_number 10
_symmetry_space_group_name_Hall '-P 2y'
_cell_length_a 5.1307
_cell_length_b 7.1442
_cell_length_c 5.1318
_cell_angle_alpha 90.00
_cell_angle_beta 90.95
_cell_angle_gamma 90.00
loop_
_atom_site_label
_atom_site_type_symbol
_atom_site_fract_x
_atom_site_fract_y
_atom_site_fract_z
Sr1 Sr 0.0000 0.0000 0.0000
Ce1 Ce 0.5000 0.2501 0.5000
Ta1 Ta 0.0000 0.5000 0.0000
O1 O 0.1919 0.2970 0.1901
O2 O 0.2789 0.5000 0.7196
O3 O 0.3258 0.0000 0.6710
```

Principal peaks in the range 10° ≤ 2θ ≤ 90°, by intensity:
hkl 1 2 0, 30.5 deg, d 2.932, I = 100; hkl 1 0 -1, 24.3 deg, d 3.658, I = 56; hkl 1 0 1, 24.7 deg, d 3.598, I = 54; hkl 2 2 -1, 46.8 deg, d 1.940, I = 40; hkl 2 2 1, 47.3 deg, d 1.922, I = 38; hkl 0 0 2, 35.0 deg, d 2.565, I = 27; hkl 0 2 3, 60.0 deg, d 1.543, I = 23; hkl 0 4 2, 63.5 deg, d 1.466, I = 12; hkl 1 4 1, 57.6 deg, d 1.600, I = 11; hkl 0 1 1, 21.3 deg, d 4.167, I = 11

---

What did the fourth record say?
This entry pairs a crystal structure of Ba2SnHg6Sb with its computed X-ray diffraction stick pattern. Radiation: Cu Kα. Structure: a structure optimized by DFT (GGA-PBE).
Kinematic intensities with the Lorentz-polarization factor, no thermal factor.

```
data_Ba2SnHg6Sb
_chemical_formula_sum 'Ba4 Sn2 Hg12 Sb2'
_symmetry_space_group_name_H-M 'P m m n'
_symmetry_Int_Tables_number 59
_cell_length_a 5.9117
_cell_length_b 10.2822
_cell_length_c 10.9507
_cell_angle_alpha 90.00
_cell_angle_beta 90.00
_cell_angle_gamma 90.00
loop_
_symmetry_equiv_pos_as_xyz
'x,y,z'
'-x,-y,-z'
'-x+1/2,-y+1/2,z'
'x+1/2,y+1/2,-z'
'x+1/2,-y,-z'
'-x+1/2,y,z'
'-x,y+1/2,-z'
'x,-y+1/2,z'
loop_
_atom_site_label
_atom_site_type_symbol
_atom_site_fract_x
_atom_site_fract_y
_atom_site_fract_z
Ba1 Ba 0.2500 0.0135 0.2332
Sn1 Sn 0.2500 0.2500 0.7493
Hg1 Hg 0.0005 0.2500 0.9738
Hg2 Hg 0.0008 0.7500 0.5318
Hg3 Hg 0.2500 0.0096 0.5829
Sb1 Sb 0.2500 0.7500 0.7999
```

Principal peaks in the range 10° ≤ 2θ ≤ 90°, by intensity:
hkl 1 2 3, 33.7 deg, d 2.658, I = 100; hkl 2 2 0, 35.0 deg, d 2.563, I = 96; hkl 0 4 0, 34.9 deg, d 2.571, I = 92; hkl 2 2 2, 38.8 deg, d 2.321, I = 83; hkl 2 0 2, 34.5 deg, d 2.601, I = 71; hkl 0 2 2, 23.7 deg, d 3.748, I = 59; hkl 1 2 2, 28.2 deg, d 3.165, I = 50; hkl 2 4 2, 49.9 deg, d 1.828, I = 49; hkl 0 0 2, 16.2 deg, d 5.475, I = 44; hkl 0 2 1, 19.1 deg, d 4.653, I = 38